Calculated powder diffractogram of MnSnRuO6 for Cu Kα X-rays, from a crystal structure in Alexandria, relaxed with PBE+U.

Main lines, by angle (2θ = 10–90°):
| 2θ/deg | I/Imax | index |
| --- | --- | --- |
| 21.30 | 14 | 1 0 1 |
| 27.24 | 100 | 1 1 0 |
| 34.01 | 81 | 1 0 3 |
| 38.91 | 19 | 2 0 0 |
| 52.62 | 68 | 2 1 3 |
| 56.20 | 17 | 2 2 0 |
| 63.55 | 14 | 3 1 0 |
| 64.74 | 16 | 1 1 6 |
| 67.34 | 21 | 3 0 3 |
| 80.60 | 12 | 3 2 3 |

Cell and atoms:
```
MnSnRuO6
1.0
4.6294 0.0000 0.0000
0.0000 4.6294 0.0000
0.0000 0.0000 9.6199
Mn Sn Ru O
2 2 2 12
Cartesian
0.0000 0.0000 0.0000
2.3147 2.3147 4.8099
0.0000 0.0000 3.2017
2.3147 2.3147 8.0116
0.0000 0.0000 6.4011
2.3147 2.3147 1.5911
0.8717 0.8717 7.9504
0.9191 0.9191 4.8610
0.9640 0.9640 1.5822
1.3507 3.2788 6.3921
1.3956 3.2339 0.0511
1.4430 3.1865 3.1405
3.1865 1.4430 3.1405
3.2339 1.3956 0.0511
3.2788 1.3507 6.3921
3.6654 3.6654 1.5822
3.7103 3.7103 4.8610
3.7577 3.7577 7.9504
```